Dy3Te: calculated X-ray diffraction stick pattern (Cu Kα (weighted mean of Kα1 and Kα2)), based on a cell relaxed with GGA-PBE.
Intensities are scaled so that the largest is 100.

Top 10 peaks for 10° ≤ 2θ ≤ 80°, sorted by position:
index	2θ (°)	I_rel
2 3 1	29.81	90
3 3 0	30.47	37
1 1 2	31.31	59
2 4 0	32.16	50
4 1 1	33.17	100
2 2 2	36.06	34
5 1 0	36.82	30
1 3 2	37.53	37
2 3 3	52.62	21
1 7 2	60.91	23

Structure:
Cell lengths 12.4483, 12.4483, 6.0410 Å; angles 90.00, 90.00, 90.00 degrees
Space group I-4 (No. 82)
Asymmetric unit:
Dy 0.0295 0.3606 0.4734 (multiplicity 8)
Dy 0.0800 0.8925 0.2665 (multiplicity 8)
Dy 0.1815 0.7817 0.7542 (multiplicity 8)
Te 0.0415 0.2981 0.9685 (multiplicity 8)

=====

Dy3Te: calculated X-ray diffraction stick pattern (Cu Kα (weighted mean of Kα1 and Kα2)), based on a cell relaxed with GGA-PBE.
Intensities are scaled so that the largest is 100.

Top 10 peaks for 10° ≤ 2θ ≤ 80°, sorted by position:
index	2θ (°)	I_rel
2 3 1	29.88	100
3 3 0	30.69	55
1 1 2	30.99	69
2 4 0	32.40	75
4 1 1	33.28	95
2 2 2	35.85	35
3 0 2	36.60	19
5 1 0	37.09	40
1 3 2	37.34	48
1 7 2	61.07	28

Structure:
Cell lengths 12.3605, 12.3605, 6.1148 Å; angles 90.00, 90.00, 90.00 degrees
Space group P4_2/n (No. 86, origin choice 2)
Asymmetric unit:
Dy 0.0365 0.5749 0.2365 (multiplicity 8)
Dy 0.1089 0.2206 0.0391 (multiplicity 8)
Dy 0.1412 0.6673 0.7128 (multiplicity 8)
Te 0.0486 0.2064 0.5434 (multiplicity 8)

=====

Dy2ThTe4: calculated X-ray diffraction stick pattern (Cu Kα (weighted mean of Kα1 and Kα2)), based on a cell relaxed with GGA-PBE.
Intensities are scaled so that the largest is 100.

Top 10 peaks for 10° ≤ 2θ ≤ 80°, sorted by position:
index	2θ (°)	I_rel
0 2 3	21.78	60
0 2 4	26.98	48
1 3 1	28.60	80
1 3 2	30.47	100
1 1 5	37.24	59
1 5 2	39.74	30
2 0 0	42.06	92
0 4 6	44.40	21
2 6 3	60.98	27
1 7 8	72.05	24

Structure:
Cell lengths 4.2971, 14.3000, 14.9079 Å; angles 90.00, 90.00, 90.00 degrees
Space group Cmcm (No. 63)
Asymmetric unit:
Dy 0.0000 0.1351 0.0660 (multiplicity 8)
Th 0.0000 0.3740 0.2500 (multiplicity 4)
Te 0.0000 0.0379 0.2500 (multiplicity 4)
Te 0.0000 0.2237 0.6234 (multiplicity 8)
Te 0.0000 0.5000 0.0000 (multiplicity 4)

=====

DyThTe4: calculated X-ray diffraction stick pattern (Cu Kα (weighted mean of Kα1 and Kα2)), based on a cell relaxed with GGA-PBE.
Intensities are scaled so that the largest is 100.

Top 10 peaks for 10° ≤ 2θ ≤ 80°, sorted by position:
index	2θ (°)	I_rel
1 1 -1	19.95	36
1 1 1	20.54	31
2 0 0	23.35	32
2 1 0	26.23	40
0 2 1	26.35	41
2 1 -1	28.32	36
1 1 2	29.13	34
2 2 0	33.42	50
1 1 -3	38.76	59
3 1 1	39.71	100

Structure:
Cell lengths 7.6170, 7.5482, 7.6382 Å; angles 90.00, 92.49, 90.00 degrees
Space group P2_1/c (No. 14)
Asymmetric unit:
Dy 0.0000 0.0000 0.0000 (multiplicity 2)
Th 0.5000 0.0000 0.5000 (multiplicity 2)
Te 0.1314 0.1330 0.6363 (multiplicity 4)
Te 0.3520 0.6439 0.6439 (multiplicity 4)

=====

DyTh2Te5: calculated X-ray diffraction stick pattern (Cu Kα (weighted mean of Kα1 and Kα2)), based on a cell relaxed with GGA-PBE.
Intensities are scaled so that the largest is 100.

Top 10 peaks for 10° ≤ 2θ ≤ 80°, sorted by position:
index	2θ (°)	I_rel
0 2 0	12.69	54
1 1 0	15.62	77
0 2 3	21.91	74
0 2 4	27.05	36
0 4 2	28.23	43
2 0 0	28.76	100
0 4 3	31.29	66
0 2 5	32.57	34
2 2 3	36.44	41
2 4 3	43.01	51

Structure:
Cell lengths 6.2089, 13.9539, 14.9578 Å; angles 90.00, 90.00, 90.00 degrees
Space group Cmcm (No. 63)
Asymmetric unit:
Dy 0.0000 0.2167 0.2500 (multiplicity 4)
Th 0.0000 0.1596 0.5540 (multiplicity 8)
Te 0.0000 0.0489 0.1242 (multiplicity 8)
Te 0.0000 0.2522 0.7500 (multiplicity 4)
Te 0.0000 0.3437 0.0754 (multiplicity 8)

=====

Dy2ThTl3Te6: calculated X-ray diffraction stick pattern (Cu Kα (weighted mean of Kα1 and Kα2)), based on a cell relaxed with GGA-PBE.
Intensities are scaled so that the largest is 100.

Top 10 peaks for 10° ≤ 2θ ≤ 80°, sorted by position:
index	2θ (°)	I_rel
1 3 1	27.32	100
2 0 2	37.15	41
0 6 0	40.80	35
0 0 4	43.48	8
4 0 0	49.80	19
2 6 2	56.36	12
3 3 3	61.15	17
4 6 0	66.27	16
5 3 1	71.89	12
6 0 -2	74.29	6

Structure:
Cell lengths 7.6616, 13.2666, 8.7075 Å; angles 90.00, 107.05, 90.00 degrees
Space group C2/m (No. 12)
Asymmetric unit:
Dy 0.0000 0.1668 0.0000 (multiplicity 4)
Th 0.0000 0.5000 0.0000 (multiplicity 2)
Tl 0.0000 0.0000 0.5000 (multiplicity 2)
Tl 0.0000 0.3342 0.5000 (multiplicity 4)
Te 0.2351 0.0000 0.2172 (multiplicity 4)
Te 0.2413 0.3314 0.2179 (multiplicity 8)